(1)
TaAlBr: calculated X-ray diffraction stick pattern (Cu Ka), based on a crystal structure in Alexandria, relaxed with PBE.

Structural model:
Unit cell a=3.072 b=3.575 c=12.623 alpha=90.18 beta=96.54 gamma=90.00
Fractional coordinates of all 6 atoms:
Ta 0.000 0.000 0.000
Ta 0.111 0.003 0.238
Al 0.554 0.501 0.116
Al 0.671 0.504 0.368
Br 0.422 0.998 0.834
Br 0.759 0.506 0.556

Peak list (10 most intense, 15° ≤ 2θ ≤ 90°, by angle)
2theta	I/Imax
21.3	28.4
24.9	40.3
25.9	85.0
28.5	26.4
29.3	28.7
38.8	100.0
43.7	22.5
44.0	40.6
46.4	30.6
46.6	30.8

---

(2)
TaAlBr: calculated X-ray diffraction stick pattern (Cu Ka), based on a crystal structure in Alexandria, relaxed with PBE.

Structural model:
Unit cell a=3.855 b=4.057 c=9.589 alpha=90.00 beta=90.00 gamma=90.00
Fractional coordinates of all 6 atoms:
Ta 0.000 0.000 0.000
Ta 0.500 0.000 0.212
Al 0.000 0.500 0.195
Al 0.500 0.500 0.007
Br 0.000 0.000 0.739
Br 0.500 0.500 0.425

Peak list (10 most intense, 15° ≤ 2θ ≤ 90°, by angle)
2theta	I/Imax
21.9	57.2
23.8	66.5
24.9	100.0
33.4	56.8
36.5	31.2
37.2	96.6
37.5	33.1
43.0	97.5
44.7	32.5
47.1	27.8

---

(3)
AlTc2Br: calculated X-ray diffraction stick pattern (Cu Ka), based on a crystal structure in Alexandria, relaxed with PBE.

Structural model:
Unit cell a=3.042 b=3.063 c=7.598 alpha=90.00 beta=90.00 gamma=90.00
Fractional coordinates of all 4 atoms:
Al 0.000 0.000 0.000
Tc 0.000 0.000 0.604
Tc 0.500 0.500 0.796
Br 0.500 0.000 0.317

Peak list (10 most intense, 15° ≤ 2θ ≤ 90°, by angle)
2theta	I/Imax
31.5	51.3
37.7	18.7
37.9	100.0
41.9	19.6
43.6	87.6
46.5	54.6
60.9	17.9
73.6	27.3
76.7	26.5
80.0	21.6

---

(4)
TiAl2Br8: calculated X-ray diffraction stick pattern (Cu Ka), based on a crystal structure in Alexandria, relaxed with PBE.

Structural model:
Unit cell a=10.576 b=10.576 c=12.579 alpha=123.89 beta=123.89 gamma=49.73
Fractional coordinates of all 22 atoms:
Ti 0.006 0.994 0.750
Ti 0.994 0.006 0.250
Al 0.151 0.682 0.470
Al 0.318 0.849 0.030
Al 0.682 0.151 0.970
Al 0.849 0.318 0.530
Br 0.131 0.159 0.512
Br 0.135 0.701 0.284
Br 0.159 0.131 0.012
Br 0.165 0.713 0.824
Br 0.287 0.835 0.676
Br 0.289 0.395 0.445
Br 0.299 0.865 0.216
Br 0.395 0.289 0.945
Br 0.605 0.711 0.055
Br 0.701 0.135 0.784
Br 0.711 0.605 0.555
Br 0.713 0.165 0.324
Br 0.835 0.287 0.176
Br 0.841 0.869 0.988
Br 0.865 0.299 0.716
Br 0.869 0.841 0.488

Peak list (10 most intense, 15° ≤ 2θ ≤ 90°, by angle)
2theta	I/Imax
23.2	33.8
23.5	32.6
26.9	51.3
26.9	52.2
27.6	100.0
28.2	23.6
28.4	46.2
41.1	36.1
49.0	17.8
50.2	19.3

---

(5)
TiAl2Br8: calculated X-ray diffraction stick pattern (Cu Ka), based on a crystal structure in Alexandria, relaxed with PBE.

Structural model:
Unit cell a=6.390 b=12.860 c=10.156 alpha=90.00 beta=90.00 gamma=90.00
Fractional coordinates of all 22 atoms:
Ti 0.000 0.000 0.000
Ti 0.500 0.500 0.500
Al 0.107 0.314 0.500
Al 0.393 0.814 0.000
Al 0.607 0.186 0.000
Al 0.893 0.686 0.500
Br 0.196 0.143 0.500
Br 0.236 0.177 0.000
Br 0.249 0.407 0.321
Br 0.249 0.407 0.679
Br 0.251 0.907 0.179
Br 0.251 0.907 0.821
Br 0.264 0.677 0.500
Br 0.304 0.643 0.000
Br 0.696 0.357 0.000
Br 0.736 0.323 0.500
Br 0.749 0.093 0.179
Br 0.749 0.093 0.821
Br 0.751 0.593 0.321
Br 0.751 0.593 0.679
Br 0.764 0.823 0.000
Br 0.804 0.857 0.500

Peak list (10 most intense, 15° ≤ 2θ ≤ 90°, by angle)
2theta	I/Imax
17.5	17.6
22.3	16.3
26.4	100.0
26.5	24.8
27.9	33.4
31.1	29.3
39.4	17.8
40.7	15.5
44.2	19.1
48.5	17.3

---

(6)
AlZn2Br: calculated X-ray diffraction stick pattern (Cu Ka), based on a crystal structure in Alexandria, relaxed with PBE.

Structural model:
Unit cell a=7.744 b=4.463 c=6.847 alpha=90.00 beta=124.34 gamma=90.00
Fractional coordinates of all 8 atoms:
Al 0.000 0.000 0.000
Al 0.500 0.500 0.000
Zn 0.213 0.500 0.092
Zn 0.378 0.000 0.091
Zn 0.713 0.000 0.092
Zn 0.878 0.500 0.091
Br 0.282 0.500 0.565
Br 0.782 0.000 0.565

Peak list (10 most intense, 15° ≤ 2θ ≤ 90°, by angle)
2theta	I/Imax
15.7	47.4
24.3	100.0
27.9	55.1
31.7	66.5
40.4	37.9
41.2	77.5
46.5	32.3
47.3	54.3
49.8	32.2
52.2	31.0

---

(7)
ZrAl2Br: calculated X-ray diffraction stick pattern (Cu Ka), based on a crystal structure in Alexandria, relaxed with PBE.

Structural model:
Unit cell a=7.839 b=7.839 c=5.649 alpha=90.00 beta=90.00 gamma=90.00
Fractional coordinates of all 16 atoms:
Zr 0.000 0.000 0.000
Zr 0.000 0.500 0.250
Zr 0.500 0.000 0.750
Zr 0.500 0.500 0.500
Al 0.249 0.250 0.625
Al 0.250 0.749 0.875
Al 0.250 0.751 0.375
Al 0.251 0.250 0.125
Al 0.749 0.750 0.125
Al 0.750 0.249 0.375
Al 0.750 0.251 0.875
Al 0.751 0.750 0.625
Br 0.000 0.000 0.500
Br 0.000 0.500 0.750
Br 0.500 0.000 0.250
Br 0.500 0.500 0.000

Peak list (10 most intense, 15° ≤ 2θ ≤ 90°, by angle)
2theta	I/Imax
22.7	68.2
32.3	100.0
35.7	97.0
46.3	35.5
48.9	77.3
59.8	20.8
69.6	26.2
70.9	19.4
78.8	18.5
89.0	21.8

---

(8)
AlC2: calculated X-ray diffraction stick pattern (Cu Ka), based on a crystal structure in Alexandria, relaxed with PBE.

Structural model:
Unit cell a=2.507 b=2.507 c=24.642 alpha=90.00 beta=90.00 gamma=120.00
Fractional coordinates of all 9 atoms:
Al 0.000 0.000 0.000
Al 0.333 0.667 0.667
Al 0.667 0.333 0.333
C 0.000 0.000 0.166
C 0.000 0.000 0.500
C 0.333 0.667 0.166
C 0.333 0.667 0.833
C 0.667 0.333 0.500
C 0.667 0.333 0.833

Peak list (10 most intense, 15° ≤ 2θ ≤ 90°, by angle)
2theta	I/Imax
21.6	100.0
41.8	10.4
42.3	19.5
44.1	11.2
44.2	16.8
45.7	8.0
51.5	10.4
56.5	7.7
68.6	6.7
80.0	9.6